Theoretical powder diffractogram
Compound: Lu5Ge3C
Radiation: CuKα
Structure: the GGA-PBE geometry in the Materials Project

The 10 most intense peaks (2θ from 15° to 90°), low angle first:
hkl 1 0 2, 2θ 31.0, I 38
hkl 2 1 0, 2θ 32.9, I 44
hkl 1 1 2, 2θ 35.8, I 67
hkl 2 1 1, 2θ 35.9, I 100
hkl 3 0 0, 2θ 37.5, I 20
hkl 2 2 2, 2θ 52.8, I 21
hkl 2 1 3, 2θ 55.2, I 29
hkl 4 1 0, 2θ 58.8, I 20
hkl 4 0 2, 2θ 59.1, I 17
hkl 5 0 2, 2θ 72.1, I 20

Crystal structure
```
Lu5Ge3C
1.0
8.314 0.000 0.000
-4.157 7.200 0.000
0.000 0.000 6.300
Lu Ge C
10 6 2
direct
0.000 0.221 0.250
0.000 0.779 0.750
0.221 0.000 0.250
0.221 0.221 0.750
0.333 0.667 0.000
0.333 0.667 0.500
0.667 0.333 0.000
0.667 0.333 0.500
0.779 0.000 0.750
0.779 0.779 0.250
0.000 0.407 0.750
0.000 0.593 0.250
0.407 0.000 0.750
0.407 0.407 0.250
0.593 0.000 0.250
0.593 0.593 0.750
0.000 0.000 0.000
0.000 0.000 0.500
```



Theoretical powder diffractogram
Compound: GeCN2
Radiation: CuKα
Structure: the GGA-PBE geometry in the Materials Project

The 10 most intense peaks (2θ from 15° to 90°), low angle first:
hkl 0 0 2, 2θ 18.1, I 49
hkl 1 0 0, 2θ 28.4, I 37
hkl 1 0 1, 2θ 29.9, I 16
hkl 1 0 2, 2θ 33.9, I 100
hkl 1 0 4, 2θ 47.0, I 42
hkl 1 1 0, 2θ 50.3, I 28
hkl 1 1 2, 2θ 53.9, I 18
hkl 2 0 2, 2θ 62.0, I 16
hkl 1 0 6, 2θ 64.2, I 15
hkl 2 1 2, 2θ 83.8, I 14

Crystal structure
```
GeCN2
1.0
3.627 0.000 0.000
-1.813 3.141 0.000
0.000 0.000 9.820
Ge C N
2 2 4
direct
0.000 0.000 0.000
0.000 0.000 0.500
0.333 0.667 0.250
0.667 0.333 0.750
0.333 0.667 0.124
0.333 0.667 0.376
0.667 0.333 0.624
0.667 0.333 0.876
```



Theoretical powder diffractogram
Compound: GeCN2
Radiation: CuKα
Structure: the GGA-PBE geometry in the Materials Project

The 10 most intense peaks (2θ from 15° to 90°), low angle first:
hkl 0 0 3, 2θ 18.0, I 51
hkl 1 0 1, 2θ 29.4, I 18
hkl 0 1 2, 2θ 31.2, I 100
hkl 1 0 4, 2θ 37.8, I 31
hkl 0 1 5, 2θ 42.2, I 33
hkl 1 1 0, 2θ 50.9, I 28
hkl 1 0 7, 2θ 52.4, I 17
hkl 1 1 3, 2θ 54.4, I 18
hkl 2 0 2, 2θ 60.9, I 12
hkl 1 2 2, 2θ 83.3, I 10

Crystal structure
```
GeCN2
1.0
3.588 0.000 0.000
-1.794 3.107 0.000
0.000 0.000 14.766
Ge C N
3 3 6
direct
0.000 0.000 0.000
0.333 0.667 0.667
0.667 0.333 0.333
0.000 0.000 0.500
0.333 0.667 0.167
0.667 0.333 0.833
0.000 0.000 0.416
0.000 0.000 0.584
0.333 0.667 0.083
0.333 0.667 0.251
0.667 0.333 0.749
0.667 0.333 0.917
```



Theoretical powder diffractogram
Compound: GeCN2
Radiation: CuKα
Structure: the GGA-PBE geometry in the Materials Project

The 10 most intense peaks (2θ from 15° to 90°), low angle first:
hkl 1 1 0, 2θ 17.3, I 46
hkl 0 1 1, 2θ 20.0, I 54
hkl 0 2 0, 2θ 20.3, I 30
hkl 1 1 1, 2θ 24.5, I 40
hkl 1 2 0, 2θ 24.7, I 100
hkl 1 2 1, 2θ 30.3, I 72
hkl 2 0 1, 2θ 33.2, I 63
hkl 0 3 1, 2θ 35.4, I 22
hkl 2 1 2, 2θ 46.6, I 30
hkl 2 4 1, 2θ 54.0, I 22

Crystal structure
```
GeCN2
1.0
6.346 0.000 0.000
0.000 8.736 0.000
0.000 0.000 5.145
Ge C N
4 4 8
direct
0.123 0.132 0.000
0.377 0.632 0.500
0.623 0.368 0.000
0.877 0.868 0.500
0.193 0.705 0.001
0.307 0.205 0.501
0.693 0.795 0.001
0.807 0.295 0.501
0.182 0.707 0.240
0.185 0.709 0.762
0.315 0.209 0.262
0.318 0.207 0.740
0.682 0.793 0.240
0.685 0.791 0.762
0.815 0.291 0.262
0.818 0.293 0.740
```



Theoretical powder diffractogram
Compound: NaGePCO7
Radiation: CuKα
Structure: the GGA-PBE geometry in the Materials Project

The 10 most intense peaks (2θ from 15° to 90°), low angle first:
hkl 0 1 1, 2θ 17.2, I 100
hkl 1 0 -1, 2θ 19.5, I 34
hkl 1 0 1, 2θ 20.4, I 46
hkl 1 1 0, 2θ 22.3, I 47
hkl 1 0 -2, 2θ 25.8, I 54
hkl 0 2 0, 2θ 28.2, I 61
hkl 2 0 0, 2θ 35.0, I 41
hkl 1 1 3, 2θ 38.3, I 25
hkl 0 3 1, 2θ 44.2, I 21
hkl 3 0 -2, 2θ 56.8, I 24

Crystal structure
```
NaGePCO7
1.0
5.131 0.000 0.000
0.000 6.321 0.000
-0.420 0.000 8.974
Na Ge P C O
2 2 2 2 14
direct
0.238 0.000 0.275
0.762 0.500 0.725
0.217 0.213 0.839
0.783 0.713 0.161
0.273 0.722 0.935
0.727 0.222 0.065
0.276 0.234 0.580
0.724 0.734 0.420
0.045 0.229 0.644
0.118 0.731 0.079
0.202 0.528 0.839
0.213 0.915 0.834
0.310 0.237 0.446
0.428 0.214 0.018
0.468 0.233 0.689
0.532 0.733 0.311
0.572 0.714 0.982
0.690 0.737 0.554
0.787 0.415 0.166
0.798 0.028 0.161
0.882 0.231 0.921
0.955 0.729 0.356
```



Theoretical powder diffractogram
Compound: Nb2GeC
Radiation: CuKα
Structure: the GGA-PBE geometry in the Materials Project

The 10 most intense peaks (2θ from 15° to 90°), low angle first:
hkl 1 0 0, 2θ 31.5, I 25
hkl 1 0 3, 2θ 38.3, I 100
hkl 0 0 6, 2θ 43.2, I 14
hkl 1 0 6, 2θ 54.5, I 12
hkl 1 1 0, 2θ 56.2, I 23
hkl 2 0 0, 2θ 65.9, I 3
hkl 2 0 3, 2θ 70.0, I 16
hkl 1 1 6, 2θ 73.4, I 16
hkl 1 0 9, 2θ 76.0, I 10
hkl 2 0 6, 2θ 82.1, I 4

Crystal structure
```
Nb2GeC
1.0
3.275 0.000 0.000
-1.638 2.837 0.000
0.000 0.000 12.557
Nb Ge C
4 2 2
direct
0.333 0.667 0.093
0.333 0.667 0.407
0.667 0.333 0.593
0.667 0.333 0.907
0.333 0.667 0.750
0.667 0.333 0.250
0.000 0.000 0.000
0.000 0.000 0.500
```



Theoretical powder diffractogram
Compound: Nd15Ge9C
Radiation: CuKα
Structure: the GGA-PBE geometry in the Materials Project

The 10 most intense peaks (2θ from 15° to 90°), low angle first:
hkl 1 1 2, 2θ 28.8, I 29
hkl 4 1 0, 2θ 30.8, I 38
hkl 3 0 2, 2θ 33.3, I 78
hkl 4 1 1, 2θ 33.6, I 100
hkl 3 3 0, 2θ 35.1, I 31
hkl 6 0 2, 2θ 49.1, I 18
hkl 4 1 3, 2θ 51.2, I 24
hkl 6 3 0, 2θ 54.8, I 12
hkl 4 4 2, 2θ 55.0, I 18
hkl 5 5 2, 2θ 66.9, I 13

Crystal structure
```
Nd15Ge9C
1.0
15.347 0.000 0.000
-7.673 13.291 0.000
0.000 0.000 6.784
Nd Ge C
30 18 2
direct
0.017 0.342 0.000
0.017 0.675 0.000
0.081 0.162 0.732
0.081 0.919 0.732
0.162 0.081 0.232
0.175 0.587 0.729
0.255 0.509 0.289
0.255 0.745 0.289
0.325 0.342 0.000
0.325 0.983 0.000
0.342 0.017 0.500
0.342 0.325 0.500
0.413 0.587 0.729
0.413 0.825 0.729
0.491 0.745 0.289
0.509 0.255 0.789
0.587 0.175 0.229
0.587 0.413 0.229
0.658 0.675 0.000
0.658 0.983 0.000
0.675 0.017 0.500
0.675 0.658 0.500
0.745 0.255 0.789
0.745 0.491 0.789
0.825 0.413 0.229
0.838 0.919 0.732
0.919 0.081 0.232
0.919 0.838 0.232
0.983 0.325 0.500
0.983 0.658 0.500
0.066 0.533 0.265
0.133 0.265 0.277
0.133 0.867 0.277
0.198 0.396 0.714
0.198 0.802 0.714
0.265 0.133 0.777
0.396 0.198 0.214
0.467 0.533 0.265
0.467 0.934 0.265
0.533 0.066 0.765
0.533 0.467 0.765
0.604 0.802 0.714
0.735 0.867 0.277
0.802 0.198 0.214
0.802 0.604 0.214
0.867 0.133 0.777
0.867 0.735 0.777
0.934 0.467 0.765
0.333 0.667 0.509
0.667 0.333 0.009
```



Theoretical powder diffractogram
Compound: Nd5Ge3C
Radiation: CuKα
Structure: the GGA-PBE geometry in the Materials Project

The 10 most intense peaks (2θ from 15° to 90°), low angle first:
hkl 1 0 2, 2θ 28.9, I 32
hkl 2 1 0, 2θ 30.9, I 41
hkl 1 1 2, 2θ 33.4, I 68
hkl 2 1 1, 2θ 33.7, I 100
hkl 3 0 0, 2θ 35.1, I 20
hkl 2 2 2, 2θ 49.2, I 19
hkl 2 1 3, 2θ 51.4, I 30
hkl 4 1 0, 2θ 54.9, I 18
hkl 4 0 2, 2θ 55.1, I 16
hkl 5 0 2, 2θ 67.0, I 20

Crystal structure
```
Nd5Ge3C
1.0
8.849 0.000 0.000
-4.424 7.663 0.000
0.000 0.000 6.761
Nd Ge C
10 6 2
direct
0.000 0.222 0.250
0.000 0.778 0.750
0.222 0.000 0.250
0.222 0.222 0.750
0.333 0.667 0.000
0.333 0.667 0.500
0.667 0.333 0.000
0.667 0.333 0.500
0.778 0.000 0.750
0.778 0.778 0.250
0.000 0.409 0.750
0.000 0.591 0.250
0.409 0.000 0.750
0.409 0.409 0.250
0.591 0.000 0.250
0.591 0.591 0.750
0.000 0.000 0.000
0.000 0.000 0.500
```